Entry 1:
This entry pairs a crystal structure of BaCaFeF7 with its computed PXRD pattern. Radiation: Cu Ka. Structure: a crystal structure in the Materials Project, relaxed with PBE+U.
Neutral-atom scattering factors, no anomalous dispersion.

Structure:
```
BaCaFeF7
1.0
5.706 0.000 0.000
0.000 10.700 0.000
-0.264 0.000 9.944
Ba Ca Fe F
4 4 4 28
Direct
0.234 0.165 0.492
0.234 0.335 0.992
0.766 0.665 0.008
0.766 0.835 0.508
0.216 0.586 0.328
0.216 0.914 0.828
0.784 0.086 0.172
0.784 0.414 0.672
0.307 0.626 0.695
0.307 0.874 0.195
0.693 0.126 0.805
0.693 0.374 0.305
0.036 0.712 0.771
0.036 0.788 0.271
0.102 0.539 0.122
0.102 0.961 0.622
0.156 0.026 0.131
0.156 0.474 0.631
0.207 0.704 0.522
0.207 0.796 0.022
0.399 0.090 0.899
0.399 0.410 0.399
0.423 0.538 0.853
0.423 0.962 0.353
0.492 0.725 0.258
0.492 0.775 0.758
0.508 0.225 0.242
0.508 0.275 0.742
0.577 0.038 0.647
0.577 0.462 0.147
0.601 0.590 0.601
0.601 0.910 0.101
0.793 0.204 0.978
0.793 0.296 0.478
0.844 0.526 0.369
0.844 0.974 0.869
0.898 0.039 0.378
0.898 0.461 0.878
0.964 0.212 0.729
0.964 0.288 0.229
```

The 10 most intense peaks (15 to 90 degrees two-theta), in order of falling intensity:
| hkl | 2theta | intensity |
| --- | --- | --- |
| 1 2 -1 | 24.36 | 100 |
| 1 1 2 | 25.48 | 66 |
| 1 1 -2 | 24.88 | 45 |
| 1 4 1 | 38.35 | 35 |
| 1 2 1 | 24.66 | 32 |
| 0 1 3 | 28.18 | 30 |
| 0 3 3 | 37.03 | 27 |
| 0 2 4 | 39.99 | 24 |
| 2 0 0 | 31.37 | 23 |
| 3 2 -1 | 51.61 | 23 |



Entry 2:
This entry pairs a crystal structure of CoSe2O5 with its computed PXRD pattern. Radiation: Cu Ka. Structure: a crystal structure in the Materials Project, relaxed with PBE+U.
Neutral-atom scattering factors, no anomalous dispersion.

Structure:
```
CoSe2O5
1.0
6.981 0.000 0.000
0.000 10.514 0.000
0.000 0.000 6.145
Co Se O
4 8 20
Direct
0.000 0.065 0.250
0.000 0.935 0.750
0.500 0.435 0.750
0.500 0.565 0.250
0.137 0.347 0.036
0.137 0.653 0.536
0.363 0.153 0.536
0.363 0.847 0.036
0.637 0.153 0.964
0.637 0.847 0.464
0.863 0.347 0.464
0.863 0.653 0.964
0.000 0.435 0.250
0.000 0.565 0.750
0.155 0.066 0.552
0.155 0.934 0.052
0.196 0.210 0.170
0.196 0.790 0.670
0.304 0.290 0.670
0.304 0.710 0.170
0.345 0.434 0.052
0.345 0.566 0.552
0.500 0.065 0.750
0.500 0.935 0.250
0.655 0.434 0.448
0.655 0.566 0.948
0.696 0.290 0.830
0.696 0.710 0.330
0.804 0.210 0.330
0.804 0.790 0.830
0.845 0.066 0.948
0.845 0.934 0.448
```

The 10 most intense peaks (15 to 90 degrees two-theta), in order of falling intensity:
| hkl | 2theta | intensity |
| --- | --- | --- |
| 1 2 1 | 25.69 | 100 |
| 2 1 1 | 30.67 | 77 |
| 1 1 1 | 21.03 | 37 |
| 1 3 0 | 28.50 | 33 |
| 2 5 1 | 52.98 | 26 |
| 1 1 2 | 32.97 | 23 |
| 3 3 2 | 56.10 | 18 |
| 1 0 2 | 31.82 | 18 |
| 1 3 1 | 32.07 | 17 |
| 4 0 2 | 61.07 | 15 |